This entry pairs a crystal structure of Tm5SbTe4 with its simulated powder XRD pattern. Radiation: Cu Kα (λ = 1.5418 Å). Structure: a structure optimized by DFT (GGA-PBE).
Lines closer than 0.1° are merged.

Structural model:
a = 7.466 Å, b = 7.466 Å, c = 7.466 Å
α = 99.56°, β = 99.56°, γ = 131.89°
Atoms (fractional coordinates):
1 Tm 0.000 0.000 0.000
2 Tm 0.207 0.600 0.810
3 Tm 0.397 0.207 0.607
4 Tm 0.600 0.791 0.393
5 Tm 0.791 0.397 0.190
6 Sb 0.500 0.500 0.000
7 Te 0.095 0.302 0.400
8 Te 0.302 0.903 0.207
9 Te 0.696 0.095 0.793
10 Te 0.903 0.696 0.600

Largest 6 diffraction maxima, in order of rising 2θ, 2θ = 10–90°:
3.047 Å, I 100.0
2.154 Å, I 75.5
1.759 Å, I 26.8
1.363 Å, I 22.5
1.361 Å, I 11.5
1.244 Å, I 25.1